[1]
This entry pairs a crystal structure of LiNd2AuO5 with its theoretical powder XRD pattern. Radiation: Cu Kα, 1.54184 Å. Structure: DFT lattice parameters and positions (PBE).
Kinematic intensities with the Lorentz-polarization factor, no thermal factor.

Peak list (8 most intense, 10° ≤ 2θ ≤ 90°, low angle first)
2theta  Rel. int.
18.5  85
23.8  32
30.1  37
30.3  100
33.1  50
37.4  24
42.6  38
44.8  58

abc: 6.800 6.800 5.931
angles: 90.00 90.00 90.00
Atoms (fractional coordinates):
Li: 0.000 0.000 0.000
Li: 0.500 0.500 0.000
Nd: 0.177 0.323 0.500
Nd: 0.323 0.823 0.500
Nd: 0.677 0.177 0.500
Nd: 0.823 0.677 0.500
Au: 0.000 0.500 0.000
Au: 0.500 0.000 0.000
O: 0.000 0.000 0.500
O: 0.137 0.637 0.254
O: 0.137 0.637 0.746
O: 0.363 0.137 0.254
O: 0.363 0.137 0.746
O: 0.500 0.500 0.500
O: 0.637 0.863 0.254
O: 0.637 0.863 0.746
O: 0.863 0.363 0.254
O: 0.863 0.363 0.746

[2]
This entry pairs a crystal structure of Li4NdSn2Au with its theoretical powder XRD pattern. Radiation: Cu Kα, 1.54184 Å. Structure: DFT lattice parameters and positions (PBE).
Kinematic intensities with the Lorentz-polarization factor, no thermal factor.

Peak list (8 most intense, 10° ≤ 2θ ≤ 90°, low angle first)
2theta  Rel. int.
25.8  100
35.4  45
38.2  43
46.6  21
53.1  14
58.0  18
61.8  24
67.2  14

abc: 9.027 9.027 9.027
angles: 30.30 30.30 30.30
Atoms (fractional coordinates):
Li: 0.096 0.096 0.096
Li: 0.364 0.364 0.364
Li: 0.636 0.636 0.636
Li: 0.904 0.904 0.904
Nd: 0.500 0.500 0.500
Sn: 0.239 0.239 0.239
Sn: 0.761 0.761 0.761
Au: 0.000 0.000 0.000

[3]
This entry pairs a crystal structure of Li2NdTmAu4 with its theoretical powder XRD pattern. Radiation: Cu Kα, 1.54184 Å. Structure: DFT lattice parameters and positions (PBE).
Kinematic intensities with the Lorentz-polarization factor, no thermal factor.

Peak list (8 most intense, 10° ≤ 2θ ≤ 90°, low angle first)
2theta  Rel. int.
23.2  56
25.9  41
34.7  97
39.0  100
40.2  55
53.2  29
67.9  28
75.4  24

abc: 9.408 9.408 9.408
angles: 28.40 28.40 28.40
Atoms (fractional coordinates):
Li: 0.245 0.245 0.245
Li: 0.755 0.755 0.755
Nd: 0.000 0.000 0.000
Tm: 0.500 0.500 0.500
Au: 0.117 0.117 0.117
Au: 0.392 0.392 0.392
Au: 0.608 0.608 0.608
Au: 0.883 0.883 0.883

[4]
This entry pairs a crystal structure of Li3NiAu4 with its theoretical powder XRD pattern. Radiation: Cu Kα, 1.54184 Å. Structure: DFT lattice parameters and positions (PBE).
Kinematic intensities with the Lorentz-polarization factor, no thermal factor.

Peak list (8 most intense, 10° ≤ 2θ ≤ 90°, low angle first)
2theta  Rel. int.
28.8  85
41.1  100
50.9  24
59.6  11
67.4  21
67.5  11
74.9  35
89.2  8

abc: 6.950 6.950 6.950
angles: 143.19 143.19 53.03
Atoms (fractional coordinates):
Li: 0.000 0.000 0.000
Li: 0.252 0.252 0.000
Li: 0.748 0.748 0.000
Ni: 0.500 0.500 0.000
Au: 0.124 0.624 0.500
Au: 0.376 0.876 0.500
Au: 0.624 0.124 0.500
Au: 0.876 0.376 0.500

[5]
This entry pairs a crystal structure of LiNiPdAu with its theoretical powder XRD pattern. Radiation: Cu Kα, 1.54184 Å. Structure: DFT lattice parameters and positions (PBE).
Kinematic intensities with the Lorentz-polarization factor, no thermal factor.

Peak list (8 most intense, 10° ≤ 2θ ≤ 90°, low angle first)
2theta  Rel. int.
25.4  20
29.4  51
42.1  100
49.8  10
52.2  14
61.1  16
69.2  19
77.0  33

abc: 4.291 4.291 4.291
angles: 60.00 60.00 60.00
Atoms (fractional coordinates):
Li: 0.000 0.000 0.000
Ni: 0.500 0.500 0.500
Pd: 0.750 0.750 0.750
Au: 0.250 0.250 0.250

[6]
This entry pairs a crystal structure of LiTiNiAu with its theoretical powder XRD pattern. Radiation: Cu Kα, 1.54184 Å. Structure: DFT lattice parameters and positions (PBE).
Kinematic intensities with the Lorentz-polarization factor, no thermal factor.

Peak list (8 most intense, 10° ≤ 2θ ≤ 90°, low angle first)
2theta  Rel. int.
25.1  48
29.1  58
41.6  100
49.2  25
51.6  16
60.3  16
68.3  21
75.9  33

abc: 4.341 4.341 4.341
angles: 60.00 60.00 60.00
Atoms (fractional coordinates):
Li: 0.000 0.000 0.000
Ti: 0.500 0.500 0.500
Ni: 0.750 0.750 0.750
Au: 0.250 0.250 0.250